This entry pairs a crystal structure of NbSi6W2 with its calculated powder XRD pattern. Radiation: λ = 1.5418 Å (Cu Kα). Structure: the PBE geometry in Alexandria.

Structural model:
a = 4.689 Å, b = 4.689 Å, c = 6.576 Å
α = 90.00°, β = 90.00°, γ = 119.66°
Positions (direct):
Nb (0.000, 0.000, 0.000)
Si (0.176, 0.339, 0.334)
Si (0.338, 0.662, 0.000)
Si (0.339, 0.176, 0.666)
Si (0.661, 0.824, 0.666)
Si (0.662, 0.338, 0.000)
Si (0.824, 0.661, 0.334)
W (0.000, 0.500, 0.665)
W (0.500, 0.000, 0.335)

Largest 6 diffraction maxima, low angle first, 5 to 70 degrees two-theta:
2θ = 25.75°, rel. 100; 2θ = 35.09°, rel. 46; 2θ = 40.67°, rel. 24; 2θ = 40.87°, rel. 58; 2θ = 41.18°, rel. 29; 2θ = 47.64°, rel. 38